The following is a computed powder diffraction line list of Rb2LuAuCl6. It was derived from a GGA-PBE-relaxed structure, using CuKα.

Largest 12 diffraction maxima, sorted by position, 10° ≤ 2θ ≤ 90°:
2θ = 16.61°, intensity 38
2θ = 23.57°, intensity 100
2θ = 33.57°, intensity 53
2θ = 37.68°, intensity 20
2θ = 41.43°, intensity 47
2θ = 48.21°, intensity 37
2θ = 51.34°, intensity 10
2θ = 54.34°, intensity 22
2θ = 60.03°, intensity 12
2θ = 65.41°, intensity 25
2θ = 75.56°, intensity 13
2θ = 80.45°, intensity 16

Atomic structure:
```
data_Rb2LuAuCl6
_chemical_formula_sum 'Rb8 Lu4 Au4 Cl24'
_cell_length_a 10.678
_cell_length_b 10.678
_cell_length_c 10.678
_cell_angle_alpha 90.00
_cell_angle_beta 90.00
_cell_angle_gamma 90.00
_symmetry_space_group_name_H-M 'F m -3 m'
_symmetry_Int_Tables_number 225
_symmetry_space_group_name_Hall '-F 4 2 3'
loop_
_atom_site_label
_atom_site_type_symbol
_atom_site_fract_x
_atom_site_fract_y
_atom_site_fract_z
_atom_site_occupancy
Rb1 Rb 0.250 0.250 0.250 1
Lu1 Lu 0.000 0.000 0.000 1
Au1 Au 0.000 0.000 0.500 1
Cl1 Cl 0.000 0.000 0.242 1
```